The following is a calculated powder XRD pattern of BaH16O10. It was derived from a cell relaxed with GGA-PBE, using Cu Ka.
Kinematic intensities with the Lorentz-polarization factor, no thermal factor.

Structural model:
```
data_BaH16O10
_space_group_name_H-M_alt 'P 1 c 1'
_space_group_IT_number 7
_space_group_name_Hall 'P -2yc'
_cell_length_a 6.3895
_cell_length_b 6.4130
_cell_length_c 11.9928
_cell_angle_alpha 90.00
_cell_angle_beta 90.67
_cell_angle_gamma 90.00
loop_
_atom_site_label
_atom_site_fract_x
_atom_site_fract_y
_atom_site_fract_z
Ba1 0.0000 0.0046 0.0000
H1 0.0436 0.4513 0.1380
H2 0.1624 0.3293 0.7906
H3 0.2747 0.4132 0.9007
H4 0.2800 0.4020 0.1050
H5 0.3167 0.1611 0.2949
H6 0.3993 0.2811 0.6068
H7 0.4031 0.2750 0.4039
H8 0.4532 0.0466 0.6376
H9 0.5521 0.0489 0.8721
H10 0.5968 0.2873 0.8963
H11 0.6031 0.2816 0.1007
H12 0.7115 0.3964 0.3982
H13 0.7165 0.1938 0.2097
H14 0.7194 0.3972 0.6001
H15 0.7982 0.2832 0.7086
H16 0.9502 0.4444 0.3714
O1 0.1365 0.3508 0.8702
O2 0.1457 0.3362 0.1320
O3 0.3343 0.1453 0.6311
O4 0.3467 0.1351 0.3743
O5 0.4883 0.4943 0.4386
O6 0.5018 0.4954 0.0624
O7 0.6640 0.1488 0.1362
O8 0.6673 0.1535 0.8730
O9 0.8463 0.3289 0.3739
O10 0.8493 0.3310 0.6361
```

Most intense lines, 10 to 90 degrees two-theta, by angle:
index, 2theta, I_rel
0 1 0, 13.83, 94
0 0 2, 14.77, 100
1 1 0, 19.61, 67
0 1 2, 20.25, 73
1 1 -2, 24.54, 78
1 1 2, 24.74, 74
2 0 -2, 31.62, 60
2 1 -2, 34.62, 28
1 1 -4, 35.79, 35
1 1 4, 36.07, 33
1 3 0, 44.70, 29
3 1 0, 44.84, 29

=====

The following is a calculated powder XRD pattern of BaH16O10. It was derived from a cell relaxed with GGA-PBE, using Cu Ka.
Kinematic intensities with the Lorentz-polarization factor, no thermal factor.

Structural model:
```
data_BaH16O10
_space_group_name_H-M_alt 'C 1 2/c 1'
_space_group_IT_number 15
_space_group_name_Hall '-C 2yc'
_cell_length_a 9.2089
_cell_length_b 9.2116
_cell_length_c 11.3649
_cell_angle_alpha 90.00
_cell_angle_beta 90.02
_cell_angle_gamma 90.00
loop_
_atom_site_label
_atom_site_fract_x
_atom_site_fract_y
_atom_site_fract_z
Ba1 0.0000 0.0019 0.2500
H1 0.0590 0.3432 0.1435
H2 0.0672 0.3391 0.8483
H3 0.0941 0.2401 0.9618
H4 0.1559 0.4387 0.6431
H5 0.1616 0.4363 0.3481
H6 0.2067 0.2527 0.1277
H7 0.2408 0.0938 0.5376
H8 0.2475 0.2920 0.6281
O1 0.0037 0.4993 0.8157
O2 0.0989 0.2450 0.1181
O3 0.1044 0.2400 0.8746
O4 0.2403 0.1032 0.6250
O5 0.2452 0.1000 0.3811
```

Most intense lines, 10 to 90 degrees two-theta, by angle:
index, 2theta, I_rel
1 1 0, 13.60, 66
0 0 2, 15.59, 65
2 0 0, 19.27, 42
1 1 -2, 20.75, 65
2 0 2, 24.89, 100
2 2 2, 31.69, 82
1 1 4, 34.44, 30
1 3 2, 34.61, 40
2 0 -4, 37.18, 43
2 2 4, 42.21, 25
4 2 0, 43.97, 44
4 2 -2, 46.93, 30